Record 1
Diffraction record for FeTeSe2. The powder XRD pattern is computed, not measured: it uses a crystal structure in Alexandria, relaxed with GGA-PBE and λ = 1.5418 Å (Cu Kα).
Intensities are scaled so that the largest is 1000.

Lattice parameters (Å, degrees): 3.3553 3.3553 26.1428 90.00 90.00 120.00
Fractional coordinates of all 12 atoms:
Fe  0.0000  0.0000  0.0000
Fe  0.3333  0.6667  0.6667
Fe  0.6667  0.3333  0.3333
Te  0.0000  0.0000  0.5000
Te  0.3333  0.6667  0.1667
Te  0.6667  0.3333  0.8333
Se  0.0000  0.0000  0.2805
Se  0.0000  0.0000  0.7195
Se  0.3333  0.6667  0.3861
Se  0.3333  0.6667  0.9472
Se  0.6667  0.3333  0.0528
Se  0.6667  0.3333  0.6139

Principal peaks in the range 10° ≤ 2θ ≤ 80°, low angle first:
2θ/deg, intensity
30.8, 237
33.8, 1000
35.3, 378
46.7, 250
54.7, 322
64.1, 237

***

Record 2
Diffraction record for Fe4TeSe3. The powder XRD pattern is computed, not measured: it uses a crystal structure in Alexandria, relaxed with GGA-PBE and λ = 1.5418 Å (Cu Kα).
Intensities are scaled so that the largest is 1000.

Lattice parameters (Å, degrees): 3.6296 7.3694 12.5686 90.00 90.00 90.00
Fractional coordinates of all 16 atoms:
Fe  0.0000  0.0000  0.0000
Fe  0.0000  0.0000  0.4885
Fe  0.0000  0.5000  0.5000
Fe  0.0000  0.5000  0.9885
Fe  0.5000  0.2418  0.4907
Fe  0.5000  0.2582  0.9907
Fe  0.5000  0.7418  0.9907
Fe  0.5000  0.7582  0.4907
Te  0.5000  0.0000  0.3434
Te  0.5000  0.5000  0.8434
Se  0.0000  0.2477  0.6132
Se  0.0000  0.2523  0.1132
Se  0.0000  0.7477  0.1132
Se  0.0000  0.7523  0.6132
Se  0.5000  0.0000  0.8777
Se  0.5000  0.5000  0.3777

Principal peaks in the range 10° ≤ 2θ ≤ 80°, low angle first:
2θ/deg, intensity
14.1, 775
28.1, 721
28.4, 810
37.6, 352
45.4, 1000
50.3, 305

***

Record 3
Diffraction record for Fe3Te2Se. The powder XRD pattern is computed, not measured: it uses a crystal structure in Alexandria, relaxed with GGA-PBE and λ = 1.5418 Å (Cu Kα).
Intensities are scaled so that the largest is 1000.

Lattice parameters (Å, degrees): 3.6092 3.6092 19.1687 90.00 90.00 90.00
Fractional coordinates of all 12 atoms:
Fe  0.0000  0.5000  0.0000
Fe  0.0000  0.5000  0.3256
Fe  0.0000  0.5000  0.6537
Fe  0.5000  0.0000  0.0000
Fe  0.5000  0.0000  0.3256
Fe  0.5000  0.0000  0.6537
Te  0.0000  0.0000  0.2296
Te  0.0000  0.0000  0.5557
Te  0.0000  0.0000  0.9039
Te  0.5000  0.5000  0.7518
Se  0.5000  0.5000  0.0830
Se  0.5000  0.5000  0.4083

Principal peaks in the range 10° ≤ 2θ ≤ 80°, low angle first:
2θ/deg, intensity
13.9, 217
28.4, 1000
38.0, 255
45.5, 594
50.6, 241
59.0, 248

***

Record 4
Diffraction record for Th5FeSe4. The powder XRD pattern is computed, not measured: it uses a crystal structure in Alexandria, relaxed with GGA-PBE and λ = 1.5418 Å (Cu Kα).
Intensities are scaled so that the largest is 1000.

Lattice parameters (Å, degrees): 7.2587 7.2587 7.2587 99.67 99.67 131.60
Fractional coordinates of all 10 atoms:
Th  0.0000  0.0000  0.0000
Th  0.2269  0.4027  0.6296
Th  0.4027  0.7731  0.1758
Th  0.5973  0.2269  0.8242
Th  0.7731  0.5973  0.3704
Fe  0.5000  0.5000  0.0000
Se  0.0885  0.6916  0.7801
Se  0.3084  0.0885  0.3969
Se  0.6916  0.9115  0.6031
Se  0.9115  0.3084  0.2199

Principal peaks in the range 10° ≤ 2θ ≤ 80°, low angle first:
2θ/deg, intensity
26.0, 692
30.0, 538
30.2, 1000
43.1, 766
43.2, 347
53.5, 373

***

Record 5
Diffraction record for Ti4FeSe8. The powder XRD pattern is computed, not measured: it uses a crystal structure in Alexandria, relaxed with GGA-PBE and λ = 1.5418 Å (Cu Kα).
Intensities are scaled so that the largest is 1000.

Lattice parameters (Å, degrees): 7.0036 7.0036 8.6008 126.77 126.77 61.36
Fractional coordinates of all 13 atoms:
Ti  0.2374  0.7626  0.0000
Ti  0.2496  0.2496  0.4914
Ti  0.7504  0.7504  0.5086
Ti  0.7626  0.2374  0.0000
Fe  0.5000  0.5000  0.5000
Se  0.0415  0.5491  0.3306
Se  0.0442  0.0442  0.8302
Se  0.4509  0.9585  0.6694
Se  0.4559  0.4559  0.1643
Se  0.5441  0.5441  0.8357
Se  0.5491  0.0415  0.3306
Se  0.9558  0.9558  0.1698
Se  0.9585  0.4509  0.6694

Principal peaks in the range 10° ≤ 2θ ≤ 80°, low angle first:
2θ/deg, intensity
32.5, 1000
41.8, 281
41.9, 138
51.2, 347
54.4, 126
61.9, 122

***

Record 6
Diffraction record for TlFeSe2. The powder XRD pattern is computed, not measured: it uses a crystal structure in Alexandria, relaxed with GGA-PBE and λ = 1.5418 Å (Cu Kα).
Intensities are scaled so that the largest is 1000.

Lattice parameters (Å, degrees): 12.2632 5.2916 7.0498 90.00 118.36 90.00
Fractional coordinates of all 16 atoms:
Tl  0.1830  0.0000  0.1303
Tl  0.3170  0.5000  0.8697
Tl  0.6830  0.5000  0.1303
Tl  0.8170  0.0000  0.8697
Fe  0.0000  0.2489  0.5000
Fe  0.0000  0.7511  0.5000
Fe  0.5000  0.2511  0.5000
Fe  0.5000  0.7489  0.5000
Se  0.0409  0.5000  0.7868
Se  0.1648  0.0000  0.5698
Se  0.3352  0.5000  0.4302
Se  0.4591  0.0000  0.2132
Se  0.5409  0.0000  0.7868
Se  0.6648  0.5000  0.5698
Se  0.8352  0.0000  0.4302
Se  0.9591  0.5000  0.2132

Principal peaks in the range 10° ≤ 2θ ≤ 80°, low angle first:
2θ/deg, intensity
21.0, 334
30.0, 1000
31.0, 964
32.0, 318
33.9, 306
47.3, 520

***

Record 7
Diffraction record for UFeSe4. The powder XRD pattern is computed, not measured: it uses a crystal structure in Alexandria, relaxed with GGA-PBE and λ = 1.5418 Å (Cu Kα).
Intensities are scaled so that the largest is 1000.

Lattice parameters (Å, degrees): 6.7374 6.5304 6.4176 90.00 101.29 90.00
Fractional coordinates of all 12 atoms:
U  0.0000  0.0000  0.0000
U  0.0000  0.5000  0.5000
Fe  0.5000  0.0000  0.5000
Fe  0.5000  0.5000  0.0000
Se  0.2031  0.1815  0.3774
Se  0.2031  0.3185  0.8774
Se  0.3125  0.7135  0.2589
Se  0.3125  0.7865  0.7588
Se  0.6875  0.2135  0.2412
Se  0.6875  0.2865  0.7412
Se  0.7969  0.6815  0.1226
Se  0.7969  0.8185  0.6226

Principal peaks in the range 10° ≤ 2θ ≤ 80°, low angle first:
2θ/deg, intensity
13.4, 423
22.2, 1000
25.4, 615
31.2, 356
38.8, 673
39.8, 505

***

Record 8
Diffraction record for U2FeSe5. The powder XRD pattern is computed, not measured: it uses a crystal structure in Alexandria, relaxed with GGA-PBE and λ = 1.5418 Å (Cu Kα).
Intensities are scaled so that the largest is 1000.

Lattice parameters (Å, degrees): 8.3065 8.3065 7.3309 97.23 97.23 45.19
Fractional coordinates of all 16 atoms:
U  0.0929  0.6899  0.9096
U  0.3101  0.9071  0.5904
U  0.6899  0.0929  0.4096
U  0.9071  0.3101  0.0904
Fe  0.0000  0.5000  0.5000
Fe  0.5000  0.0000  0.0000
Se  0.1009  0.8991  0.2500
Se  0.1327  0.3093  0.8130
Se  0.2974  0.5200  0.5747
Se  0.3093  0.1327  0.3130
Se  0.4800  0.7026  0.9253
Se  0.5200  0.2974  0.0747
Se  0.6907  0.8673  0.6870
Se  0.7026  0.4800  0.4253
Se  0.8673  0.6907  0.1870
Se  0.8991  0.1009  0.7500

Principal peaks in the range 10° ≤ 2θ ≤ 80°, low angle first:
2θ/deg, intensity
19.9, 1000
24.4, 978
33.5, 639
36.4, 976
39.5, 812
40.5, 742

***

Record 9
Diffraction record for VFeSe3. The powder XRD pattern is computed, not measured: it uses a crystal structure in Alexandria, relaxed with GGA-PBE and λ = 1.5418 Å (Cu Kα).
Intensities are scaled so that the largest is 1000.

Lattice parameters (Å, degrees): 6.7382 3.3788 9.2635 90.00 110.40 90.00
Fractional coordinates of all 10 atoms:
V  0.2079  0.2500  0.4745
V  0.7921  0.7500  0.5255
Fe  0.4282  0.2500  0.8114
Fe  0.5718  0.7500  0.1886
Se  0.0576  0.2500  0.6827
Se  0.3513  0.2500  0.0468
Se  0.3997  0.7500  0.3657
Se  0.6003  0.2500  0.6343
Se  0.6487  0.7500  0.9532
Se  0.9424  0.7500  0.3173

Principal peaks in the range 10° ≤ 2θ ≤ 80°, low angle first:
2θ/deg, intensity
14.0, 531
28.3, 839
33.6, 423
41.5, 429
43.1, 1000
47.6, 544

***

Record 10
Diffraction record for Zn4FeSe5. The powder XRD pattern is computed, not measured: it uses a crystal structure in Alexandria, relaxed with GGA-PBE and λ = 1.5418 Å (Cu Kα).
Intensities are scaled so that the largest is 1000.

Lattice parameters (Å, degrees): 16.7412 16.7412 16.7412 13.86 13.86 13.86
Fractional coordinates of all 10 atoms:
Zn  0.0000  0.0000  0.0000
Zn  0.1997  0.1997  0.1997
Zn  0.4002  0.4002  0.4002
Zn  0.5998  0.5998  0.5998
Fe  0.8002  0.8002  0.8002
Se  0.1496  0.1496  0.1496
Se  0.3502  0.3502  0.3502
Se  0.5499  0.5499  0.5499
Se  0.7508  0.7508  0.7508
Se  0.9501  0.9501  0.9501

Principal peaks in the range 10° ≤ 2θ ≤ 80°, low angle first:
2θ/deg, intensity
26.9, 331
27.0, 1000
44.7, 490
44.9, 486
53.1, 434
65.2, 152

***

Record 11
Diffraction record for Zr4FeSe. The powder XRD pattern is computed, not measured: it uses a crystal structure in Alexandria, relaxed with GGA-PBE and λ = 1.5418 Å (Cu Kα).
Intensities are scaled so that the largest is 1000.

Lattice parameters (Å, degrees): 7.5313 3.6156 17.2024 90.00 90.00 90.00
Fractional coordinates of all 24 atoms:
Zr  0.0139  0.2500  0.2212
Zr  0.0174  0.2500  0.9290
Zr  0.1340  0.2500  0.4479
Zr  0.1518  0.2500  0.6477
Zr  0.3482  0.7500  0.1477
Zr  0.3660  0.7500  0.9479
Zr  0.4826  0.7500  0.4290
Zr  0.4861  0.7500  0.7212
Zr  0.5139  0.2500  0.2788
Zr  0.5174  0.2500  0.5710
Zr  0.6340  0.2500  0.0521
Zr  0.6518  0.2500  0.8523
Zr  0.8482  0.7500  0.3523
Zr  0.8660  0.7500  0.5521
Zr  0.9826  0.7500  0.0710
Zr  0.9861  0.7500  0.7788
Fe  0.2314  0.2500  0.0491
Fe  0.2686  0.7500  0.5491
Fe  0.7314  0.2500  0.4509
Fe  0.7686  0.7500  0.9509
Se  0.2217  0.7500  0.3102
Se  0.2783  0.2500  0.8102
Se  0.7217  0.7500  0.1898
Se  0.7783  0.2500  0.6898

Principal peaks in the range 10° ≤ 2θ ≤ 80°, low angle first:
2θ/deg, intensity
34.4, 337
34.5, 1000
36.0, 550
36.2, 335
37.9, 733
50.5, 348

***

Record 12
Diffraction record for Fe5Si. The powder XRD pattern is computed, not measured: it uses a crystal structure in Alexandria, relaxed with GGA-PBE and λ = 1.5418 Å (Cu Kα).
Intensities are scaled so that the largest is 1000.

Lattice parameters (Å, degrees): 3.9323 11.8535 2.8549 90.00 90.00 90.00
Fractional coordinates of all 12 atoms:
Fe  0.0000  0.0000  0.0000
Fe  0.0000  0.1657  0.5000
Fe  0.0000  0.3341  0.0000
Fe  0.0000  0.6659  0.0000
Fe  0.0000  0.8343  0.5000
Fe  0.5000  0.1659  0.0000
Fe  0.5000  0.3343  0.5000
Fe  0.5000  0.5000  0.0000
Fe  0.5000  0.6657  0.5000
Fe  0.5000  0.8341  0.0000
Si  0.0000  0.5000  0.5000
Si  0.5000  0.0000  0.5000

Principal peaks in the range 10° ≤ 2θ ≤ 80°, low angle first:
2θ/deg, intensity
14.9, 30
45.5, 1000
45.9, 242
46.2, 239
65.4, 77
67.2, 141